# Pm2PrPb2
Theoretical X-ray powder pattern, Cu Ka. Input: the GGA-PBE geometry in Alexandria.
No peak broadening, texture or thermal motion is included.

Peak list (12 most intense, 10 to 90 degrees two-theta, by angle)
index	2θ (°)	I (rel.)
1 0 1	20.55	13
1 0 3	28.03	71
1 0 4	33.31	52
1 1 0	33.99	100
1 0 5	39.16	23
2 0 3	44.62	21
2 0 4	48.33	19
2 1 3	57.25	20
2 1 4	60.39	19
3 0 0	60.83	19
1 1 8	66.43	29
3 0 8	86.67	15

Structure:
```
data_Pm2PrPb2
_symmetry_space_group_name_H-M 'P 63/m m c'
_symmetry_Int_Tables_number 194
_symmetry_space_group_name_Hall '-P 6c 2c'
_cell_length_a 5.2754
_cell_length_b 5.2754
_cell_length_c 13.3113
_cell_angle_alpha 90.00
_cell_angle_beta 90.00
_cell_angle_gamma 120.00
loop_
_atom_site_label
_atom_site_fract_x
_atom_site_fract_y
_atom_site_fract_z
Pm1 0.0000 0.0000 0.0000
Pm2 0.3333 0.6667 0.2500
Pr1 0.0000 0.0000 0.2500
Pb1 0.3333 0.6667 0.6216
```

# Pm12ThPb7
Theoretical X-ray powder pattern, Cu Ka. Input: the GGA-PBE geometry in Alexandria.
No peak broadening, texture or thermal motion is included.

Peak list (12 most intense, 10 to 90 degrees two-theta, by angle)
index	2θ (°)	I (rel.)
2 0 2	23.82	22
4 0 1	27.80	53
3 1 2	30.87	100
0 4 2	32.91	19
3 3 0	33.84	87
0 3 3	36.06	70
4 4 0	45.67	13
0 6 3	50.29	20
0 7 2	50.77	30
4 3 4	58.17	17
6 3 3	62.00	21
6 4 2	62.42	13

Structure:
```
data_Pm12ThPb7
_symmetry_space_group_name_H-M 'R -3 m'
_symmetry_Int_Tables_number 166
_symmetry_space_group_name_Hall '-R 3 2"'
_cell_length_a 15.8921
_cell_length_b 15.8921
_cell_length_c 8.8940
_cell_angle_alpha 90.00
_cell_angle_beta 90.00
_cell_angle_gamma 120.00
loop_
_atom_site_label
_atom_site_fract_x
_atom_site_fract_y
_atom_site_fract_z
Pm1 0.0000 0.2766 0.0000
Pm2 0.1096 0.5548 0.0491
Th1 0.0000 0.0000 0.0000
Pb1 0.0000 0.0000 0.5000
Pb2 0.1017 0.2034 0.7635
```